[1]
Structure and computed X-ray diffraction stick pattern of CaSc2Mn (the PBE geometry in Alexandria; Cu Ka).
Neutral-atom scattering factors, no anomalous dispersion.

Atomic structure:
a b c (Å): 11.5607 3.3630 5.5695
angles (deg): 90.00 116.26 90.00
Element x y z (fractional)
Ca1 0.0000 0.0000 0.0000
Ca2 0.5000 0.5000 0.0000
Sc1 0.0707 0.5000 0.5681
Sc2 0.2914 0.5000 0.3593
Sc3 0.5707 0.0000 0.5681
Sc4 0.7914 0.0000 0.3593
Mn1 0.2635 0.0000 0.9116
Mn2 0.7635 0.5000 0.9116

Main lines, by intensity (10 to 80 degrees two-theta):
| Position (°2θ) | Rel. int. |
| --- | --- |
| 35.3 | 100 |
| 36.0 | 95 |
| 31.1 | 42 |
| 34.6 | 40 |
| 32.2 | 39 |
| 37.3 | 31 |
| 63.4 | 18 |
| 56.7 | 15 |
| 54.6 | 15 |
| 46.9 | 12 |

***

[2]
Structure and computed X-ray diffraction stick pattern of ThPa2Sb3 (the PBE geometry in Alexandria; Cu Ka).
Neutral-atom scattering factors, no anomalous dispersion.

Atomic structure:
a b c (Å): 7.6436 7.6436 7.6326
angles (deg): 99.61 99.61 120.01
Element x y z (fractional)
Th1 0.1652 0.8348 0.0000
Th2 0.8348 0.1652 0.0000
Pa1 0.0000 0.0000 0.5000
Pa2 0.3288 0.6712 0.5000
Pa3 0.5000 0.5000 0.0000
Pa4 0.6712 0.3288 0.5000
Sb1 0.0883 0.4159 0.7455
Sb2 0.2606 0.2606 0.2604
Sb3 0.4159 0.0883 0.7455
Sb4 0.5841 0.9117 0.2545
Sb5 0.7394 0.7394 0.7396
Sb6 0.9117 0.5841 0.2545

Main lines, by intensity (10 to 80 degrees two-theta):
| Position (°2θ) | Rel. int. |
| --- | --- |
| 28.6 | 100 |
| 40.9 | 77 |
| 67.1 | 36 |
| 50.7 | 28 |
| 74.5 | 20 |
| 59.3 | 13 |
| 24.7 | 12 |
| 48.4 | 9 |
| 74.6 | 7 |
| 24.7 | 4 |

***

[3]
Structure and computed X-ray diffraction stick pattern of Th2Te5 (the PBE geometry in Alexandria; Cu Ka).
Neutral-atom scattering factors, no anomalous dispersion.

Atomic structure:
a b c (Å): 21.9618 21.9618 4.5871
angles (deg): 90.00 90.00 168.01
Element x y z (fractional)
Th1 0.0991 0.9009 0.7500
Th2 0.3029 0.6971 0.7500
Th3 0.6971 0.3029 0.2500
Th4 0.9009 0.0991 0.2500
Te1 0.0479 0.9521 0.2500
Te2 0.1760 0.8240 0.7500
Te3 0.2500 0.7500 0.2500
Te4 0.3769 0.6231 0.7500
Te5 0.4521 0.5479 0.2500
Te6 0.5479 0.4521 0.7500
Te7 0.6231 0.3769 0.2500
Te8 0.7500 0.2500 0.7500
Te9 0.8240 0.1760 0.2500
Te10 0.9521 0.0479 0.7500

Main lines, by intensity (10 to 80 degrees two-theta):
| Position (°2θ) | Rel. int. |
| --- | --- |
| 29.4 | 100 |
| 39.3 | 85 |
| 33.2 | 78 |
| 35.7 | 54 |
| 27.6 | 44 |
| 36.5 | 32 |
| 56.8 | 29 |
| 34.8 | 28 |
| 28.6 | 25 |
| 68.9 | 25 |